Computed powder diffraction line list
Compound: RbGeBr3
Radiation: Cu Kα
Structure: a crystal structure in the Materials Project, relaxed with GGA-PBE
Neutral-atom scattering factors, no anomalous dispersion.

Largest 12 diffraction maxima, by angle, 5 to 70 degrees two-theta:
hkl, 2θ (°), d (Å), I/Imax
1 1 -1, 19.35, 4.587, 51
0 0 2, 21.25, 4.182, 39
0 1 2, 24.25, 3.670, 91
0 2 1, 25.58, 3.482, 51
1 2 -1, 28.03, 3.184, 45
2 0 -1, 28.64, 3.117, 81
1 2 1, 31.31, 2.857, 100
1 2 -2, 32.23, 2.778, 44
0 1 3, 34.23, 2.620, 26
0 3 2, 41.44, 2.179, 25
0 4 0, 47.48, 1.915, 29
3 2 0, 51.83, 1.764, 31

Cell and atoms:
```
RbGeBr3
1.0
6.2447 0.0000 0.0000
0.0000 7.6595 0.0000
-2.6091 0.0000 8.3638
Rb Ge Br
2 2 6
direct
0.1725 0.2500 0.2993
0.8275 0.7500 0.7007
0.4282 0.2500 0.8742
0.5718 0.7500 0.1258
0.1647 0.7500 0.1160
0.3153 0.0044 0.6755
0.3153 0.4956 0.6755
0.6847 0.5044 0.3245
0.6847 0.9956 0.3245
0.8353 0.2500 0.8840
```


Computed powder diffraction line list
Compound: RbGeBr3
Radiation: Cu Kα
Structure: a crystal structure in the Materials Project, relaxed with GGA-PBE
Neutral-atom scattering factors, no anomalous dispersion.

Largest 12 diffraction maxima, by angle, 5 to 70 degrees two-theta:
hkl, 2θ (°), d (Å), I/Imax
0 0 2, 15.54, 5.700, 24
1 1 2, 22.05, 4.031, 16
0 1 3, 26.09, 3.416, 16
2 0 2, 26.43, 3.372, 66
0 2 2, 27.75, 3.214, 33
1 1 3, 28.22, 3.163, 15
2 1 2, 28.85, 3.095, 17
1 2 2, 29.78, 3.001, 20
0 0 4, 31.38, 2.850, 100
3 1 0, 34.15, 2.626, 18
1 3 2, 39.66, 2.273, 20
2 2 4, 44.98, 2.016, 27

Cell and atoms:
```
RbGeBr3
1.0
8.3680 0.0000 0.0000
0.0000 7.7826 0.0000
0.0000 0.0000 11.4055
Rb Ge Br
4 4 12
direct
0.0775 0.0251 0.0000
0.4225 0.5251 0.5000
0.5775 0.4749 0.0000
0.9225 0.9749 0.5000
0.0308 0.5163 0.2304
0.4692 0.0163 0.7304
0.5308 0.9837 0.2304
0.9692 0.4837 0.7304
0.0011 0.5718 0.0090
0.1837 0.7928 0.2806
0.2187 0.8237 0.7120
0.2813 0.3237 0.2120
0.3163 0.2928 0.7806
0.4989 0.0718 0.5090
0.5011 0.9282 0.0090
0.6837 0.7072 0.2806
0.7187 0.6763 0.7120
0.7813 0.1763 0.2120
0.8163 0.2072 0.7806
0.9989 0.4282 0.5090
```


Computed powder diffraction line list
Compound: Rb3Ge2Br7
Radiation: Cu Kα
Structure: a crystal structure in the Materials Project, relaxed with GGA-PBE
Neutral-atom scattering factors, no anomalous dispersion.

Largest 12 diffraction maxima, by angle, 5 to 70 degrees two-theta:
hkl, 2θ (°), d (Å), I/Imax
3 1 0, 27.13, 3.286, 73
1 1 -4, 27.46, 3.248, 65
2 3 1, 28.70, 3.110, 45
0 3 3, 28.86, 3.093, 42
1 4 -1, 29.13, 3.065, 100
3 2 0, 29.66, 3.012, 35
1 2 -4, 29.97, 2.982, 29
3 1 -3, 30.52, 2.929, 24
3 2 -3, 32.79, 2.731, 49
2 0 4, 35.31, 2.542, 61
4 2 -4, 42.42, 2.131, 31
2 6 -2, 46.37, 1.958, 27

Cell and atoms:
```
Rb3Ge2Br7
1.0
10.4136 0.0000 0.0000
0.0000 13.0360 0.0000
-2.7979 0.0000 13.2162
Rb Ge Br
12 8 28
direct
0.0495 0.1773 0.4665
0.0495 0.3227 0.9665
0.2748 0.6846 0.3599
0.2748 0.8154 0.8599
0.3882 0.1927 0.8082
0.3882 0.3073 0.3082
0.6118 0.6927 0.6918
0.6118 0.8073 0.1918
0.7252 0.1846 0.1401
0.7252 0.3154 0.6401
0.9505 0.6773 0.0335
0.9505 0.8227 0.5335
0.1851 0.0105 0.1449
0.1851 0.4895 0.6449
0.3559 0.5494 0.0688
0.3559 0.9506 0.5688
0.6441 0.0494 0.4312
0.6441 0.4506 0.9312
0.8149 0.5105 0.3551
0.8149 0.9895 0.8551
0.0890 0.1840 0.1990
0.0890 0.3160 0.6990
0.1654 0.0595 0.9586
0.1654 0.4405 0.4586
0.1847 0.0049 0.6725
0.1847 0.4951 0.1725
0.1908 0.5594 0.9004
0.1908 0.9406 0.4004
0.2779 0.7256 0.6133
0.2779 0.7744 0.1133
0.4149 0.1504 0.5423
0.4149 0.3496 0.0423
0.4287 0.0595 0.1984
0.4287 0.4405 0.6984
0.5713 0.5595 0.3016
0.5713 0.9405 0.8016
0.5851 0.6504 0.9577
0.5851 0.8496 0.4577
0.7221 0.2256 0.8867
0.7221 0.2744 0.3867
0.8092 0.0594 0.5996
0.8092 0.4406 0.0996
0.8153 0.5049 0.8275
0.8153 0.9951 0.3275
0.8346 0.5595 0.5414
0.8346 0.9405 0.0414
0.9110 0.6840 0.3010
0.9110 0.8160 0.8010
```